AcGeMoO6: calculated XRD peak list (copper Kα), based on a cell relaxed with GGA+U.

Cell and atoms:
Cell: 5.2424 5.2424 5.3414 Å, 90.00 90.00 120.00°
Space group P312 (No. 149)
Inequivalent atoms, fractional coordinates:
Ac1 0.0000 0.0000 0.0000 [1 per cell]
Ge1 0.6667 0.3333 0.5000 [1 per cell]
Mo1 0.3333 0.6667 0.5000 [1 per cell]
O1 0.3909 0.0108 0.7054 [6 per cell]

Main lines, in order of falling intensity (15° ≤ 2θ ≤ 90°):
Position (°2θ)  I_rel  (hkl)
25.75  1000  1 0 1
48.67  338  2 -1 2
34.21  299  1 1 0
56.31  230  3 -1 1
43.31  228  2 0 1
19.55  125  1 0 0
55.43  111  1 0 3
77.96  95  3 1 1
61.25  93  3 0 0
77.21  91  2 1 3
33.56  82  0 0 2
66.77  79  2 0 3